Simulated X-ray powder pattern
Compound: ScCl
Radiation: λ = 1.5418 Å (Cu Kα)
Structure: a structure optimized by DFT (GGA-PBE)

Main lines, by angle (2θ from 10° to 80°):
| d [Å] | intensity | hkl |
| --- | --- | --- |
| 4.745 | 273 | 0 0 6 |
| 2.784 | 1000 | 1 0 4 |
| 2.427 | 153 | 1 0 7 |
| 2.305 | 342 | 0 1 8 |
| 2.073 | 128 | 1 0 10 |
| 1.967 | 153 | 0 1 11 |
| 1.747 | 249 | 1 1 0 |
| 1.639 | 61 | 1 1 6 |
| 1.480 | 117 | 0 2 4 |
| 1.285 | 84 | 1 1 15 |

Crystal structure
```
ScCl
1.0
3.493 0.000 0.000
-1.747 3.025 0.000
0.000 0.000 28.469
Sc Cl
6 6
Direct
0.000 0.000 0.122
0.000 0.000 0.878
0.333 0.667 0.544
0.333 0.667 0.789
0.667 0.333 0.211
0.667 0.333 0.456
0.000 0.000 0.398
0.000 0.000 0.602
0.333 0.667 0.065
0.333 0.667 0.268
0.667 0.333 0.732
0.667 0.333 0.935
```